Starting from a crystal structure in Alexandria, relaxed with GGA-PBE, the powder diffraction line list of FeSb3 was simulated for a wavelength of 1.5418 Å.
Kinematic intensities with the Lorentz-polarization factor, no thermal factor.

Largest 8 diffraction maxima, low angle first, 2θ from 10° to 90°:
two_theta, I_rel
30.82, 100
36.65, 41
44.14, 23
46.42, 10
48.62, 17
50.74, 19
58.68, 24
69.49, 18

Structural model:
```
16
Lattice="-4.5874 4.5874 4.5874 4.5874 -4.5874 4.5874 4.5874 4.5874 -4.5874" Properties=species:S:1:pos:R:3 pbc="T T T"
Fe 2.2937 2.2937 -2.2937
Fe 2.2937 -2.2937 2.2937
Fe -2.2937 2.2937 2.2937
Fe 2.2937 2.2937 2.2937
Sb 3.0387 1.4658 0.0000
Sb 6.1360 1.4658 0.0000
Sb 4.5874 -1.5486 3.1215
Sb 3.1215 4.5874 -1.5486
Sb 1.4658 0.0000 3.0387
Sb 0.0000 3.0387 1.4658
Sb 4.5874 1.5486 3.1215
Sb 3.1215 4.5874 1.5486
Sb 1.4658 0.0000 6.1360
Sb 0.0000 6.1360 1.4658
Sb -1.5486 3.1215 4.5874
Sb 1.5486 3.1215 4.5874
```